The following is a calculated powder XRD pattern of KTc2H. It was derived from the GGA-PBE geometry in Alexandria, using a wavelength of 1.5418 Å.
Kinematic intensities with the Lorentz-polarization factor, no thermal factor.

Main lines, most intense first (2θ from 15° to 90°):
d_spacing, 2θ (°), intensity
2.360, 38.1, 100
2.468, 36.4, 92
4.720, 18.8, 80
2.459, 36.5, 46
1.575, 58.6, 33
1.444, 64.5, 29
1.234, 77.3, 24
2.047, 44.3, 21

```
data_KTc2H
_cell_length_a 5.776
_cell_length_b 5.776
_cell_length_c 5.776
_cell_angle_alpha 119.84
_cell_angle_beta 119.84
_cell_angle_gamma 90.27
_space_group_name_H-M_alt 'P 1'
_space_group_IT_number 1
loop_
_space_group_symop_operation_xyz
'x,y,z'
loop_
_atom_site_label
_atom_site_type_symbol
_atom_site_fract_x
_atom_site_fract_y
_atom_site_fract_z
_atom_site_occupancy
K1 K 0.375 0.625 0.750 1
K2 K 0.625 0.375 0.250 1
Tc1 Tc 0.000 0.000 0.000 1
Tc2 Tc 0.000 0.000 0.500 1
Tc3 Tc 0.000 0.500 0.000 1
Tc4 Tc 0.500 0.000 0.500 1
H1 H 0.125 0.875 0.250 1
H2 H 0.875 0.125 0.750 1
```